Calculated powder diffractogram
Compound: Cu3Ag2
Radiation: CuKα
Structure: a GGA-PBE-relaxed structure

Main lines, sorted by position (10° ≤ 2θ ≤ 90°):
2θ/deg  Rel. int.  h k l
40.22  51.2  1 1 1
40.48  51.2  0 2 -2
40.69  100.0  1 0 -3
46.79  33.1  2 1 -2
46.95  32.4  -1 2 1
47.68  28.9  1 -1 3
67.97  10.3  1 3 -1
68.88  19.3  -3 1 3
83.00  10.7  3 1 -5
84.00  13.6  0 1 -6

Atomic structure:
```
Cu3Ag2
1.0
4.7242 0.0000 0.0000
-0.7230 4.6851 0.0000
-1.6291 -2.5836 6.4775
Cu Ag
6 4
direct
0.0421 0.0945 0.3337
0.1367 0.2770 0.0426
0.4377 0.9122 0.1462
0.5623 0.0878 0.8538
0.8633 0.7230 0.9574
0.9579 0.9055 0.6663
0.2661 0.4983 0.7686
0.3358 0.7027 0.4488
0.6642 0.2973 0.5512
0.7339 0.5017 0.2314
```